# Cu3Mo2H2O10
Simulated PXRD pattern, CuKα. Input: a cell relaxed with GGA+U.

Largest 8 diffraction maxima, in order of falling intensity, 2θ from 5° to 70°:
(hkl), 2θ/deg, I_rel
1 0 -2, 25.72, 100
1 -1 2, 33.97, 82
1 1 0, 26.12, 79
1 -1 0, 21.06, 71
0 2 -1, 31.76, 62
0 0 2, 25.36, 42
1 1 -1, 24.24, 41
0 1 -1, 17.63, 41

Structure:
```
17
Lattice="5.5044 0.0000 0.0000 -0.7631 5.6728 0.0000 -2.1172 -2.0143 7.0232" Properties=species:S:1:pos:R:3 pbc="T T T"
Cu 0.0000 0.0000 0.0000
Cu 0.4016 2.9391 1.3162
Cu 2.2224 0.7195 5.7071
Mo -0.2653 2.9615 4.8800
Mo 2.8894 0.6970 2.1432
H -0.8522 0.1171 6.0603
H 3.4762 3.5415 0.9629
O -1.9934 2.9908 5.4419
O -1.6643 -0.0705 6.5947
O -0.2354 3.2947 3.1227
O 1.1985 5.1455 1.2531
O 0.4398 1.3143 5.2304
O 2.1843 2.3443 1.7929
O 1.4256 -1.4870 5.7702
O 2.8594 0.3639 3.9005
O 4.2884 3.7291 0.4286
O 4.6174 0.6678 1.5814
```